No. 1
# SrHf2Mo
Computed X-ray powder pattern, Cu Ka. Input: a structure optimized by DFT (GGA-PBE).

Structural model:
Unit cell a=7.180 b=7.180 c=7.180 alpha=90.00 beta=90.00 gamma=90.00
Space group F-43m (No. 216)
One atom of each set of equivalent atoms:
Sr  0.000  0.000  0.000 x4
Hf  0.000  0.000  0.500 x4
Hf  0.250  0.250  0.250 x4
Mo  0.250  0.250  0.750 x4

Largest 6 diffraction maxima, in order of rising 2θ, 10° ≤ 2θ ≤ 80°:
- 2θ = 21.4°, d 4.145, I = 11, (1 1 1)
- 2θ = 35.4°, d 2.538, I = 100, (2 2 0)
- 2θ = 41.7°, d 2.165, I = 6, (3 1 1)
- 2θ = 50.9°, d 1.795, I = 18, (4 0 0)
- 2θ = 63.5°, d 1.466, I = 36, (4 2 2)
- 2θ = 74.8°, d 1.269, I = 11, (4 4 0)

---

No. 2
# HfZrMo4
Computed X-ray powder pattern, Cu Ka. Input: a structure optimized by DFT (GGA-PBE).

Structural model:
Unit cell a=7.612 b=7.612 c=7.612 alpha=90.00 beta=90.00 gamma=90.00
Space group F-43m (No. 216)
One atom of each set of equivalent atoms:
Hf  0.000  0.000  0.000 x4
Zr  0.250  0.250  0.250 x4
Mo  0.125  0.125  0.625 x16

Largest 6 diffraction maxima, in order of rising 2θ, 10° ≤ 2θ ≤ 80°:
- 2θ = 33.3°, d 2.691, I = 37, (2 2 0)
- 2θ = 39.3°, d 2.295, I = 100, (3 1 1)
- 2θ = 41.1°, d 2.198, I = 31, (2 2 2)
- 2θ = 59.5°, d 1.554, I = 14, (4 2 2)
- 2θ = 63.5°, d 1.465, I = 32, (5 1 1)
- 2θ = 69.9°, d 1.346, I = 25, (4 4 0)